The following is a calculated powder diffraction line list of Zr3N. It was derived from a GGA-PBE-relaxed structure, using Cu Kα, 1.54184 Å.

Largest 10 diffraction maxima, by intensity, 2θ = 15–90°:
2θ 37.63, intensity 100
2θ 46.76, intensity 26
2θ 37.10, intensity 26
2θ 61.14, intensity 23
2θ 24.69, intensity 22
2θ 80.67, intensity 20
2θ 67.23, intensity 17
2θ 18.31, intensity 11
2θ 80.35, intensity 10
2θ 36.16, intensity 8

Crystal structure
```
8
Lattice="3.8855 0.0000 0.0000 0.0000 3.8855 0.0000 0.0000 0.0000 9.6923" Properties=species:S:1:pos:R:3 pbc="T T T"
Zr 0.0000 0.0000 0.0000
Zr 0.0000 1.9427 2.4231
Zr 0.0000 1.9427 7.2692
Zr 1.9427 0.0000 2.4231
Zr 1.9427 0.0000 7.2692
Zr 1.9427 1.9427 4.8462
N 0.0000 0.0000 4.8462
N 1.9427 1.9427 0.0000
```


The following is a calculated powder diffraction line list of Ho2Ge6Pd. It was derived from a GGA-PBE-relaxed structure, using Cu Kα, 1.54184 Å.

Largest 10 diffraction maxima, by intensity, 2θ = 15–90°:
2θ 33.50, intensity 100
2θ 32.77, intensity 24
2θ 44.23, intensity 23
2θ 45.00, intensity 23
2θ 43.27, intensity 19
2θ 42.63, intensity 16
2θ 37.38, intensity 15
2θ 64.93, intensity 15
2θ 74.52, intensity 14
2θ 63.59, intensity 12

Crystal structure
```
9
Lattice="4.0960 0.0000 0.0000 0.0000 2.0144 11.0083 0.0000 -2.0144 11.0083" Properties=species:S:1:pos:R:3 pbc="T T T"
Ho 0.0000 0.0000 0.0000
Ho 0.0000 0.0000 7.4873
Ge 0.0000 0.0000 13.7502
Ge 0.0000 0.0000 16.2560
Ge 2.0480 0.0000 2.7743
Ge 2.0480 0.0000 5.2844
Ge 2.0480 0.0000 9.8693
Ge 2.0480 0.0000 19.2839
Pd 2.0480 0.0000 12.3003
```


The following is a calculated powder diffraction line list of BaCaCeNbO6. It was derived from a GGA-PBE-relaxed structure, using Cu Kα, 1.54184 Å.

Largest 10 diffraction maxima, by intensity, 2θ = 15–90°:
2θ 29.79, intensity 100
2θ 29.88, intensity 48
2θ 52.99, intensity 44
2θ 42.77, intensity 28
2θ 52.82, intensity 22
2θ 61.87, intensity 16
2θ 42.50, intensity 14
2θ 70.36, intensity 13
2θ 85.97, intensity 11
2θ 85.61, intensity 11

Crystal structure
```
40
Lattice="8.4524 0.0000 0.0000 0.0000 8.4629 0.0000 0.0000 0.0000 8.5088" Properties=species:S:1:pos:R:3 pbc="T T T"
Ba 0.0000 0.0000 0.0000
Ba 0.0000 0.0000 4.2544
Ba 4.2262 0.0000 0.0000
Ba 4.2262 4.2315 0.0000
Ca 0.0000 4.2315 0.0000
Ca 0.0000 4.2315 4.2544
Ca 4.2262 0.0000 4.2544
Ca 4.2262 4.2315 4.2544
Ce 2.1043 2.1600 2.1668
Ce 2.1043 6.3029 6.3420
Ce 6.3481 2.1600 6.3420
Ce 6.3481 6.3029 2.1668
Nb 2.1303 2.1536 6.3221
Nb 2.1303 6.3093 2.1867
Nb 6.3221 2.1536 2.1867
Nb 6.3221 6.3093 6.3221
O 0.1509 2.5138 5.9112
O 0.1509 5.9491 2.5976
O 1.7426 2.5402 8.3345
O 1.7426 5.9227 0.1743
O 1.8408 0.1568 6.6087
O 1.8408 8.3061 1.9001
O 2.4999 1.6906 4.3664
O 2.4999 6.7723 4.1424
O 2.5330 4.1087 5.9248
O 2.5330 4.3542 2.5840
O 4.1010 1.9296 6.7017
O 4.1010 6.5333 1.8071
O 4.3514 1.9296 1.8071
O 4.3514 6.5333 6.7017
O 5.9194 4.1087 2.5840
O 5.9194 4.3542 5.9248
O 5.9525 1.6906 4.1424
O 5.9525 6.7723 4.3664
O 6.6116 0.1568 1.9001
O 6.6116 8.3061 6.6087
O 6.7098 2.5402 0.1743
O 6.7098 5.9227 8.3345
O 8.3015 2.5138 2.5976
O 8.3015 5.9491 5.9112
```